Starting from the PBE geometry in Alexandria, the XRD peak list of CaNdInGa was computed for Cu Kα, 1.54184 Å.
Peak positions follow from Bragg's law for the DFT cell and can differ from measured ones.

Crystal structure
```
CaNdInGa
1.0
3.743 0.000 0.000
0.000 3.743 0.000
0.000 0.000 7.694
Ca Nd In Ga
1 1 1 1
Direct
0.000 0.000 0.000 Ca
0.000 0.000 0.529 Nd
0.500 0.500 0.258 In
0.500 0.500 0.766 Ga
```

Principal peaks in the range 10 to 90 degrees two-theta, low angle first:
7.694 Å, rel. 20; 3.366 Å, rel. 19; 2.683 Å, rel. 100; 2.647 Å, rel. 49; 1.923 Å, rel. 9; 1.871 Å, rel. 17; 1.556 Å, rel. 17; 1.535 Å, rel. 35; 1.341 Å, rel. 10; 1.184 Å, rel. 7

=====

Starting from the PBE geometry in Alexandria, the XRD peak list of CaSmInGa was computed for Cu Kα, 1.54184 Å.
Peak positions follow from Bragg's law for the DFT cell and can differ from measured ones.

Crystal structure
```
CaSmInGa
1.0
3.725 0.000 0.000
0.000 3.725 0.000
0.000 0.000 7.622
Ca Sm In Ga
1 1 1 1
Direct
0.000 0.000 0.000 Ca
0.000 0.000 0.530 Sm
0.500 0.500 0.263 In
0.500 0.500 0.762 Ga
```

Principal peaks in the range 10 to 90 degrees two-theta, low angle first:
7.622 Å, rel. 24; 3.347 Å, rel. 19; 2.664 Å, rel. 100; 2.634 Å, rel. 49; 1.905 Å, rel. 9; 1.862 Å, rel. 17; 1.544 Å, rel. 17; 1.526 Å, rel. 35; 1.332 Å, rel. 10; 1.180 Å, rel. 8

=====

Starting from the PBE geometry in Alexandria, the XRD peak list of Ca2Ga7Ir was computed for Cu Kα, 1.54184 Å.
Peak positions follow from Bragg's law for the DFT cell and can differ from measured ones.

Crystal structure
```
Ca2Ga7Ir
1.0
4.199 0.000 0.000
0.000 4.199 0.000
0.000 0.000 11.090
Ca Ga Ir
2 7 1
Direct
0.000 0.500 0.242 Ca
0.500 0.000 0.758 Ca
0.000 0.000 0.000 Ga
0.000 0.000 0.500 Ga
0.000 0.500 0.641 Ga
0.000 0.500 0.868 Ga
0.500 0.000 0.132 Ga
0.500 0.000 0.359 Ga
0.500 0.500 0.500 Ga
0.500 0.500 0.000 Ir
```

Principal peaks in the range 10 to 90 degrees two-theta, low angle first:
5.545 Å, rel. 43; 3.927 Å, rel. 31; 2.774 Å, rel. 34; 2.618 Å, rel. 100; 2.100 Å, rel. 57; 2.026 Å, rel. 61; 1.962 Å, rel. 32; 1.485 Å, rel. 18; 1.291 Å, rel. 21; 1.198 Å, rel. 22

=====

Starting from the PBE geometry in Alexandria, the XRD peak list of Ca3Ga2Ir2 was computed for Cu Kα, 1.54184 Å.
Peak positions follow from Bragg's law for the DFT cell and can differ from measured ones.

Crystal structure
```
Ca3Ga2Ir2
1.0
5.783 0.000 0.000
0.000 7.842 0.000
0.000 0.000 13.896
Ca Ga Ir
12 8 8
Direct
0.127 0.243 0.250 Ca
0.127 0.257 0.750 Ca
0.358 0.606 0.596 Ca
0.358 0.606 0.904 Ca
0.358 0.894 0.096 Ca
0.358 0.894 0.404 Ca
0.642 0.106 0.596 Ca
0.642 0.106 0.904 Ca
0.642 0.394 0.096 Ca
0.642 0.394 0.404 Ca
0.873 0.743 0.250 Ca
0.873 0.757 0.750 Ca
0.099 0.250 0.000 Ga
0.099 0.250 0.500 Ga
0.340 0.588 0.250 Ga
0.340 0.912 0.750 Ga
0.660 0.088 0.250 Ga
0.660 0.412 0.750 Ga
0.901 0.750 0.000 Ga
0.901 0.750 0.500 Ga
0.144 0.527 0.093 Ir
0.144 0.527 0.407 Ir
0.144 0.973 0.593 Ir
0.144 0.973 0.907 Ir
0.856 0.027 0.093 Ir
0.856 0.027 0.407 Ir
0.856 0.473 0.593 Ir
0.856 0.473 0.907 Ir
```

Principal peaks in the range 10 to 90 degrees two-theta, low angle first:
6.948 Å, rel. 28; 5.783 Å, rel. 54; 4.413 Å, rel. 76; 3.921 Å, rel. 36; 3.283 Å, rel. 38; 2.600 Å, rel. 36; 2.383 Å, rel. 32; 2.371 Å, rel. 29; 2.341 Å, rel. 100; 2.118 Å, rel. 27

=====

Starting from the PBE geometry in Alexandria, the XRD peak list of Ca4Ga12Ir was computed for Cu Kα, 1.54184 Å.
Peak positions follow from Bragg's law for the DFT cell and can differ from measured ones.

Crystal structure
```
Ca4Ga12Ir
1.0
-4.374 4.374 4.374
4.374 -4.374 4.374
4.374 4.374 -4.374
Ca Ga Ir
4 12 1
Direct
0.000 0.000 0.500 Ca
0.000 0.500 0.000 Ca
0.500 0.000 0.000 Ca
0.500 0.500 0.500 Ca
0.000 0.290 0.290 Ga
0.000 0.710 0.710 Ga
0.250 0.500 0.750 Ga
0.250 0.750 0.500 Ga
0.290 0.000 0.290 Ga
0.290 0.290 0.000 Ga
0.500 0.250 0.750 Ga
0.500 0.750 0.250 Ga
0.710 0.000 0.710 Ga
0.710 0.710 0.000 Ga
0.750 0.250 0.500 Ga
0.750 0.500 0.250 Ga
0.000 0.000 0.000 Ir
```

Principal peaks in the range 10 to 90 degrees two-theta, low angle first:
6.186 Å, rel. 26; 4.374 Å, rel. 48; 2.766 Å, rel. 37; 2.525 Å, rel. 97; 2.338 Å, rel. 53; 2.187 Å, rel. 100; 1.865 Å, rel. 30; 1.546 Å, rel. 57; 1.319 Å, rel. 24; 1.190 Å, rel. 20

=====

Starting from the PBE geometry in Alexandria, the XRD peak list of Ca2Ga4Ir5 was computed for Cu Kα, 1.54184 Å.
Peak positions follow from Bragg's law for the DFT cell and can differ from measured ones.

Crystal structure
```
Ca2Ga4Ir5
1.0
0.000 4.813 7.571
2.835 0.000 7.571
2.835 4.813 0.000
Ca Ga Ir
2 4 5
Direct
0.122 0.122 0.878 Ca
0.878 0.878 0.122 Ca
0.210 0.528 0.472 Ga
0.472 0.790 0.210 Ga
0.528 0.210 0.790 Ga
0.790 0.472 0.528 Ga
0.000 0.000 0.500 Ir
0.250 0.250 0.250 Ir
0.500 0.500 0.000 Ir
0.500 0.500 0.500 Ir
0.750 0.750 0.750 Ir
```

Principal peaks in the range 10 to 90 degrees two-theta, low angle first:
4.813 Å, rel. 73; 4.649 Å, rel. 41; 3.786 Å, rel. 36; 2.976 Å, rel. 35; 2.443 Å, rel. 92; 2.269 Å, rel. 52; 2.052 Å, rel. 100; 2.031 Å, rel. 47; 1.893 Å, rel. 29; 1.496 Å, rel. 27